# 1
Computed XRD peak list of WSBr4 for CuKα, from a PBE-relaxed structure.

Largest 10 diffraction maxima, low angle first, 10 to 90 degrees two-theta:
- d = 6.501 Å, rel. 44
- d = 6.389 Å, rel. 42
- d = 5.781 Å, rel. 100
- d = 4.894 Å, rel. 42
- d = 4.784 Å, rel. 23
- d = 4.069 Å, rel. 40
- d = 3.037 Å, rel. 38
- d = 3.019 Å, rel. 44
- d = 2.980 Å, rel. 42
- d = 2.350 Å, rel. 19

Structure:
Unit cell a=10.460 b=6.482 c=13.655 alpha=90.00 beta=110.64 gamma=90.00
Sites, in units of the cell vectors:
W (0.238, 0.067, 0.042)
W (0.238, 0.433, 0.542)
W (0.762, 0.567, 0.458)
W (0.762, 0.933, 0.958)
S (0.386, 0.236, 0.522)
S (0.386, 0.264, 0.022)
S (0.614, 0.736, 0.978)
S (0.614, 0.764, 0.478)
Br (0.024, 0.239, 0.929)
Br (0.024, 0.261, 0.429)
Br (0.197, 0.221, 0.193)
Br (0.197, 0.279, 0.693)
Br (0.201, 0.690, 0.402)
Br (0.201, 0.810, 0.902)
Br (0.376, 0.698, 0.664)
Br (0.376, 0.802, 0.164)
Br (0.624, 0.198, 0.836)
Br (0.624, 0.302, 0.336)
Br (0.799, 0.190, 0.098)
Br (0.799, 0.310, 0.598)
Br (0.803, 0.721, 0.307)
Br (0.803, 0.779, 0.807)
Br (0.976, 0.739, 0.571)
Br (0.976, 0.761, 0.071)

---

# 2
Computed XRD peak list of Sb2Br9 for CuKα, from a PBE-relaxed structure.

Largest 10 diffraction maxima, low angle first, 10 to 90 degrees two-theta:
- d = 6.748 Å, rel. 13
- d = 5.466 Å, rel. 100
- d = 3.173 Å, rel. 26
- d = 2.733 Å, rel. 61
- d = 2.460 Å, rel. 24
- d = 2.429 Å, rel. 20
- d = 1.948 Å, rel. 22
- d = 1.917 Å, rel. 22
- d = 1.835 Å, rel. 10
- d = 1.586 Å, rel. 11

Structure:
Unit cell a=7.792 b=7.792 c=9.321 alpha=90.00 beta=90.00 gamma=120.00
Sites, in units of the cell vectors:
Sb (0.333, 0.667, 0.187)
Sb (0.667, 0.333, 0.813)
Br (0.000, 0.500, 0.000)
Br (0.174, 0.348, 0.329)
Br (0.174, 0.826, 0.329)
Br (0.348, 0.174, 0.671)
Br (0.500, 0.000, 0.000)
Br (0.500, 0.500, 0.000)
Br (0.652, 0.826, 0.329)
Br (0.826, 0.174, 0.671)
Br (0.826, 0.652, 0.671)

---

# 3
Computed XRD peak list of ScBr3 for CuKα, from a PBE-relaxed structure.

Largest 10 diffraction maxima, low angle first, 10 to 90 degrees two-theta:
- d = 4.470 Å, rel. 91
- d = 3.379 Å, rel. 95
- d = 3.276 Å, rel. 52
- d = 2.766 Å, rel. 93
- d = 2.479 Å, rel. 36
- d = 2.275 Å, rel. 100
- d = 2.027 Å, rel. 59
- d = 1.720 Å, rel. 38
- d = 1.461 Å, rel. 24
- d = 1.230 Å, rel. 25

Structure:
Unit cell a=10.323 b=10.323 c=3.520 alpha=90.00 beta=90.00 gamma=120.00
Sites, in units of the cell vectors:
Sc (0.333, 0.667, 0.250)
Sc (0.667, 0.333, 0.750)
Br (0.220, 0.440, 0.750)
Br (0.220, 0.780, 0.750)
Br (0.440, 0.220, 0.250)
Br (0.560, 0.780, 0.750)
Br (0.780, 0.220, 0.250)
Br (0.780, 0.560, 0.250)

---

Please write out number 2 again, unchanged.
Computed XRD peak list of Sb2Br9 for CuKα, from a PBE-relaxed structure.

Largest 10 diffraction maxima, low angle first, 10 to 90 degrees two-theta:
- d = 6.748 Å, rel. 13
- d = 5.466 Å, rel. 100
- d = 3.173 Å, rel. 26
- d = 2.733 Å, rel. 61
- d = 2.460 Å, rel. 24
- d = 2.429 Å, rel. 20
- d = 1.948 Å, rel. 22
- d = 1.917 Å, rel. 22
- d = 1.835 Å, rel. 10
- d = 1.586 Å, rel. 11

Structure:
Unit cell a=7.792 b=7.792 c=9.321 alpha=90.00 beta=90.00 gamma=120.00
Sites, in units of the cell vectors:
Sb (0.333, 0.667, 0.187)
Sb (0.667, 0.333, 0.813)
Br (0.000, 0.500, 0.000)
Br (0.174, 0.348, 0.329)
Br (0.174, 0.826, 0.329)
Br (0.348, 0.174, 0.671)
Br (0.500, 0.000, 0.000)
Br (0.500, 0.500, 0.000)
Br (0.652, 0.826, 0.329)
Br (0.826, 0.174, 0.671)
Br (0.826, 0.652, 0.671)